Record 1
Theoretical X-ray diffraction stick pattern
Compound: MgW
Radiation: Cu Ka
Structure: a structure optimized by DFT (GGA-PBE)

Most intense lines, 10° ≤ 2θ ≤ 90°, in order of rising 2θ:
2theta, I (rel.)
18.81, 81
36.29, 16
36.54, 32
38.14, 100
44.05, 17
44.48, 33
48.49, 14
64.38, 22
64.72, 11
77.05, 13
77.67, 25
81.61, 11

Structure:
```
MgW
1.0
5.762 0.000 0.000
0.000 5.762 0.000
0.000 0.000 8.224
Mg W
8 8
direct
0.000 0.000 0.000
0.000 0.500 0.000
0.250 0.250 0.750
0.250 0.750 0.250
0.500 0.000 0.500
0.500 0.500 0.500
0.750 0.250 0.750
0.750 0.750 0.250
0.000 0.000 0.500
0.000 0.500 0.500
0.250 0.250 0.250
0.250 0.750 0.750
0.500 0.000 0.000
0.500 0.500 0.000
0.750 0.250 0.250
0.750 0.750 0.750
```



Record 2
Theoretical X-ray diffraction stick pattern
Compound: CdCu3Pd7
Radiation: Cu Ka
Structure: a structure optimized by DFT (GGA-PBE)

Most intense lines, 10° ≤ 2θ ≤ 90°, in order of rising 2θ:
2theta, I (rel.)
23.25, 20
30.33, 30
35.97, 81
36.46, 34
39.12, 93
41.01, 100
43.46, 54
44.05, 22
47.59, 54
50.48, 21
54.18, 45
56.15, 19

Structure:
```
CdCu3Pd7
1.0
4.201 -4.605 0.000
4.201 4.605 0.000
-2.083 0.000 4.670
Cd Cu Pd
1 3 7
direct
0.000 0.000 0.000
0.272 0.728 0.500
0.500 0.500 0.000
0.728 0.272 0.500
0.000 0.000 0.500
0.091 0.555 0.812
0.320 0.320 0.451
0.445 0.909 0.188
0.555 0.091 0.812
0.680 0.680 0.549
0.909 0.445 0.188
```



Record 3
Theoretical X-ray diffraction stick pattern
Compound: Ac3PaO8
Radiation: Cu Ka
Structure: a structure optimized by DFT (GGA-PBE)

Most intense lines, 10° ≤ 2θ ≤ 90°, in order of rising 2θ:
2theta, I (rel.)
26.64, 100
30.85, 37
44.20, 51
52.35, 49
54.87, 11
64.24, 5
70.87, 20
72.96, 10
73.08, 5
81.32, 17
87.39, 12
87.56, 4

Structure:
```
Ac3PaO8
1.0
-2.900 2.900 5.789
2.900 -2.900 5.789
2.900 2.900 -5.789
Ac Pa O
3 1 8
direct
0.000 0.000 0.000
0.250 0.750 0.500
0.750 0.250 0.500
0.500 0.500 0.000
0.152 0.152 0.536
0.152 0.615 0.000
0.385 0.385 0.536
0.385 0.848 0.000
0.615 0.152 0.000
0.615 0.615 0.464
0.848 0.385 0.000
0.848 0.848 0.464
```



Record 4
Theoretical X-ray diffraction stick pattern
Compound: In7Ga4Hg
Radiation: Cu Ka
Structure: a structure optimized by DFT (GGA-PBE)

Most intense lines, 10° ≤ 2θ ≤ 90°, in order of rising 2θ:
2theta, I (rel.)
31.88, 100
39.49, 53
39.83, 17
51.34, 25
61.72, 14
62.46, 13
66.64, 11
66.88, 21
76.68, 6
84.35, 12
85.00, 6
88.79, 11

Structure:
```
In7Ga4Hg
1.0
3.559 0.000 0.000
-1.780 3.082 0.000
0.000 0.000 27.162
In Ga Hg
7 4 1
direct
0.000 0.000 0.000
0.000 0.000 0.252
0.000 0.000 0.748
0.333 0.667 0.161
0.333 0.667 0.413
0.667 0.333 0.587
0.667 0.333 0.839
0.333 0.667 0.668
0.333 0.667 0.919
0.667 0.333 0.081
0.667 0.333 0.332
0.000 0.000 0.500
```



Record 5
Theoretical X-ray diffraction stick pattern
Compound: Cs2IBr6
Radiation: Cu Ka
Structure: a structure optimized by DFT (GGA-PBE)

Most intense lines, 10° ≤ 2θ ≤ 90°, in order of rising 2θ:
2theta, I (rel.)
13.55, 19
21.95, 12
22.36, 22
25.88, 12
27.30, 100
31.24, 68
32.40, 32
44.81, 12
45.63, 46
53.22, 26
54.75, 14
56.38, 12

Structure:
```
Cs2IBr6
1.0
8.109 0.000 0.000
0.000 8.090 0.000
-8.100 0.000 11.052
Cs I Br
4 2 12
direct
0.249 0.000 0.249
0.249 0.500 0.749
0.751 0.000 0.751
0.751 0.500 0.251
0.500 0.000 0.000
0.500 0.500 0.500
0.223 0.226 0.499
0.223 0.274 0.999
0.258 0.000 0.756
0.258 0.500 0.256
0.264 0.738 0.499
0.264 0.762 0.999
0.736 0.238 0.001
0.736 0.262 0.501
0.742 0.000 0.244
0.742 0.500 0.744
0.777 0.726 0.001
0.777 0.774 0.501
```



Record 6
Theoretical X-ray diffraction stick pattern
Compound: DyMg2Ti3S8
Radiation: Cu Ka
Structure: a structure optimized by DFT (GGA-PBE)

Most intense lines, 10° ≤ 2θ ≤ 90°, in order of rising 2θ:
2theta, I (rel.)
14.69, 100
16.81, 25
24.21, 25
27.52, 36
28.13, 78
34.00, 100
37.69, 21
44.69, 24
45.09, 22
48.09, 46
49.59, 47
61.49, 16

Structure:
```
DyMg2Ti3S8
1.0
3.676 2.123 6.274
-3.676 2.123 6.274
0.000 -4.245 6.274
Dy Mg Ti S
1 2 3 8
direct
0.000 0.000 0.000
0.372 0.372 0.372
0.628 0.628 0.628
0.000 0.000 0.500
0.000 0.500 0.000
0.500 0.000 0.000
0.227 0.746 0.746
0.240 0.240 0.240
0.254 0.254 0.773
0.254 0.773 0.254
0.746 0.227 0.746
0.746 0.746 0.227
0.760 0.760 0.760
0.773 0.254 0.254
```



Record 7
Theoretical X-ray diffraction stick pattern
Compound: CdAsPd3
Radiation: Cu Ka
Structure: a structure optimized by DFT (GGA-PBE)

Most intense lines, 10° ≤ 2θ ≤ 90°, in order of rising 2θ:
2theta, I (rel.)
28.76, 26
36.71, 89
37.46, 72
38.88, 100
39.95, 31
40.49, 74
41.25, 68
43.73, 54
44.88, 15
45.05, 22
50.01, 29
59.88, 16

Structure:
```
CdAsPd3
1.0
4.915 0.000 0.000
-1.205 5.552 0.000
-2.028 -1.330 6.216
Cd As Pd
2 2 6
direct
0.039 0.363 0.192
0.961 0.637 0.808
0.372 0.159 0.656
0.628 0.841 0.344
0.080 0.881 0.239
0.391 0.678 0.601
0.500 0.000 0.000
0.500 0.500 0.000
0.609 0.322 0.399
0.920 0.119 0.761
```



Record 8
Theoretical X-ray diffraction stick pattern
Compound: CaHf8N8O4
Radiation: Cu Ka
Structure: a structure optimized by DFT (GGA-PBE)

Most intense lines, 10° ≤ 2θ ≤ 90°, in order of rising 2θ:
2theta, I (rel.)
20.58, 15
26.00, 11
31.21, 46
31.95, 100
32.09, 42
32.90, 76
43.91, 21
46.54, 15
47.89, 19
55.41, 11
56.39, 20
58.06, 17

Structure:
```
CaHf8N8O4
1.0
5.451 0.000 0.000
2.724 4.910 0.000
0.336 0.724 10.277
Ca Hf N O
1 8 8 4
direct
0.000 0.000 0.000
0.019 0.025 0.636
0.078 0.989 0.323
0.339 0.381 0.425
0.346 0.318 0.130
0.357 0.298 0.827
0.677 0.708 0.163
0.685 0.664 0.869
0.694 0.699 0.575
0.001 0.554 0.002
0.014 0.736 0.487
0.326 0.015 0.489
0.388 0.602 0.256
0.442 0.989 0.984
0.676 0.973 0.724
0.749 0.018 0.212
0.983 0.353 0.739
0.034 0.385 0.277
0.348 0.679 0.738
0.569 0.397 0.968
0.698 0.346 0.508
```